The following is a computed powder diffraction line list of NaErMo2O8. It was derived from a cell relaxed with PBE+U, using copper Kα.

Structural model:
```
data_NaErMo2O8
_space_group_name_H-M_alt 'I -4'
_space_group_IT_number 82
_cell_length_a 5.2280
_cell_length_b 5.2280
_cell_length_c 11.3513
_cell_angle_alpha 90.00
_cell_angle_beta 90.00
_cell_angle_gamma 90.00
loop_
_space_group_symop_operation_xyz
'x,y,z'
'y,-x,-z'
'-x,-y,z'
'-y,x,-z'
'x+1/2,y+1/2,z+1/2'
'y+1/2,-x+1/2,-z+1/2'
'-x+1/2,-y+1/2,z+1/2'
'-y+1/2,x+1/2,-z+1/2'
loop_
_atom_site_label
_atom_site_type_symbol
_atom_site_fract_x
_atom_site_fract_y
_atom_site_fract_z
_atom_site_occupancy
Na1 Na 0.0000 0.0000 0.0000 1
Er1 Er 0.0000 0.5000 0.2500 1
Mo1 Mo 0.0000 0.0000 0.5000 1
Mo2 Mo 0.0000 0.5000 0.7500 1
O1 O 0.1460 0.7544 0.4100 1
O2 O 0.1638 0.2528 0.8316 1
```

Principal peaks in the range 5 to 70 degrees two-theta, in order of rising 2θ:
d_spacing	Position (°2θ)	intensity
5.676	15.61	15
4.749	18.69	21
3.098	28.82	100
2.838	31.53	13
2.614	34.31	18
1.923	47.28	31
1.848	49.30	14
1.684	54.48	16
1.587	58.12	27
1.549	59.70	12


The following is a computed powder diffraction line list of Fe4O5F3. It was derived from a cell relaxed with PBE+U, using copper Kα.

Structural model:
```
data_Fe4O5F3
_space_group_name_H-M_alt 'P -1'
_space_group_IT_number 2
_cell_length_a 4.7114
_cell_length_b 7.6559
_cell_length_c 7.7525
_cell_angle_alpha 104.34
_cell_angle_beta 91.27
_cell_angle_gamma 91.09
loop_
_space_group_symop_operation_xyz
'x,y,z'
'-x,-y,-z'
loop_
_atom_site_label
_atom_site_type_symbol
_atom_site_fract_x
_atom_site_fract_y
_atom_site_fract_z
_atom_site_occupancy
Fe1 Fe 0.0000 0.0000 0.0000 1
Fe2 Fe 0.0000 0.5000 0.5000 1
Fe3 Fe 0.0487 0.2414 0.7577 1
Fe4 Fe 0.4545 0.1167 0.3805 1
Fe5 Fe 0.4798 0.3841 0.1525 1
O1 O 0.1788 0.9701 0.2088 1
O2 O 0.1933 0.4706 0.7223 1
O3 O 0.1973 0.2185 0.9900 1
O4 O 0.2942 0.3493 0.3596 1
O5 O 0.3122 0.0903 0.6038 1
F1 F 0.2036 0.7258 0.4635 1
F2 F 0.3093 0.6004 0.0909 1
F3 F 0.3119 0.8420 0.8339 1
```

Principal peaks in the range 5 to 70 degrees two-theta, in order of rising 2θ:
d_spacing	Position (°2θ)	intensity
3.392	26.28	100
3.280	27.19	97
2.573	34.87	25
2.555	35.12	48
2.543	35.30	25
1.741	52.57	29
1.727	53.02	15
1.696	54.08	15
1.640	56.08	15
1.521	60.90	16


The following is a computed powder diffraction line list of EuCrO3. It was derived from a cell relaxed with PBE+U, using copper Kα.

Structural model:
```
data_EuCrO3
_space_group_name_H-M_alt 'P m -3 m'
_space_group_IT_number 221
_space_group_name_Hall '-P 4 2 3'
_cell_length_a 3.8796
_cell_length_b 3.8796
_cell_length_c 3.8796
_cell_angle_alpha 90.00
_cell_angle_beta 90.00
_cell_angle_gamma 90.00
loop_
_atom_site_label
_atom_site_type_symbol
_atom_site_fract_x
_atom_site_fract_y
_atom_site_fract_z
_atom_site_occupancy
Eu1 Eu 0.0000 0.0000 0.0000 1
Cr1 Cr 0.5000 0.5000 0.5000 1
O1 O 0.0000 0.5000 0.5000 1
```

Principal peaks in the range 5 to 70 degrees two-theta, in order of rising 2θ:
d_spacing	Position (°2θ)	intensity
3.880	22.92	21
2.743	32.64	100
2.240	40.26	23
1.940	46.83	31
1.735	52.76	11
1.584	58.25	38
1.372	68.39	18


The following is a computed powder diffraction line list of CsMoP2O7. It was derived from a cell relaxed with PBE+U, using copper Kα.

Structural model:
```
data_CsMoP2O7
_space_group_name_H-M_alt 'P 1 21/c 1'
_space_group_IT_number 14
_cell_length_a 7.8783
_cell_length_b 10.6111
_cell_length_c 8.6759
_cell_angle_alpha 90.00
_cell_angle_beta 105.08
_cell_angle_gamma 90.00
loop_
_space_group_symop_operation_xyz
'x,y,z'
'-x,-y,-z'
'-x,y+1/2,-z+1/2'
'x,-y+1/2,z+1/2'
loop_
_atom_site_label
_atom_site_type_symbol
_atom_site_fract_x
_atom_site_fract_y
_atom_site_fract_z
_atom_site_occupancy
Cs1 Cs 0.1966 0.1917 0.0513 1
Mo1 Mo 0.2391 0.6015 0.2569 1
P1 P 0.1266 0.5988 0.8267 1
P2 P 0.4259 0.6288 0.6862 1
O1 O 0.0083 0.0063 0.7722 1
O2 O 0.0832 0.7328 0.7591 1
O3 O 0.1455 0.5901 0.0039 1
O4 O 0.3154 0.5583 0.7975 1
O5 O 0.3246 0.6023 0.5147 1
O6 O 0.3907 0.0702 0.7637 1
O7 O 0.4407 0.7309 0.2324 1
```

Principal peaks in the range 5 to 70 degrees two-theta, in order of rising 2θ:
d_spacing	Position (°2θ)	intensity
3.868	22.99	27
3.803	23.39	31
3.646	24.41	25
3.288	27.12	17
3.271	27.27	19
3.258	27.37	22
3.207	27.82	57
3.170	28.15	68
3.123	28.58	100
2.774	32.27	17


The following is a computed powder diffraction line list of KLaW2O8. It was derived from a cell relaxed with PBE+U, using copper Kα.

Structural model:
```
data_KLaW2O8
_space_group_name_H-M_alt 'I -4'
_space_group_IT_number 82
_cell_length_a 5.5477
_cell_length_b 5.5477
_cell_length_c 12.0939
_cell_angle_alpha 90.00
_cell_angle_beta 90.00
_cell_angle_gamma 90.00
loop_
_space_group_symop_operation_xyz
'x,y,z'
'y,-x,-z'
'-x,-y,z'
'-y,x,-z'
'x+1/2,y+1/2,z+1/2'
'y+1/2,-x+1/2,-z+1/2'
'-x+1/2,-y+1/2,z+1/2'
'-y+1/2,x+1/2,-z+1/2'
loop_
_atom_site_label
_atom_site_type_symbol
_atom_site_fract_x
_atom_site_fract_y
_atom_site_fract_z
_atom_site_occupancy
K1 K 0.0000 0.0000 0.0000 1
La1 La 0.0000 0.5000 0.2500 1
W1 W 0.0000 0.0000 0.5000 1
W2 W 0.0000 0.5000 0.7500 1
O1 O 0.1233 0.2387 0.4124 1
O2 O 0.1530 0.7365 0.8280 1
```

Principal peaks in the range 5 to 70 degrees two-theta, in order of rising 2θ:
d_spacing	Position (°2θ)	intensity
5.042	17.59	25
3.291	27.10	100
3.261	27.35	9
3.023	29.54	15
2.774	32.27	23
2.044	44.32	29
1.961	46.29	12
1.793	50.94	17
1.685	54.46	28
1.645	55.87	13